[1]
The following is a computed powder X-ray diffraction pattern of Li2SmMg2Ag2. It was derived from a crystal structure in Alexandria, relaxed with PBE, using Cu Kα (weighted mean of Kα1 and Kα2).

Peak list (12 most intense, 15 to 90 degrees two-theta, low angle first)
26.5°, I 47
26.8°, I 94
35.3°, I 25
35.6°, I 49
37.3°, I 100
38.8°, I 23
39.1°, I 24
39.3°, I 23
46.3°, I 20
50.1°, I 15
52.3°, I 16
61.1°, I 18

Atomic structure:
```
7
Lattice="4.187 -2.410 0.000 4.187 2.410 0.000 -2.881 0.000 7.400" Properties=species:S:1:pos:R:3 pbc="T T T"
Li -0.027 0.000 3.286
Li 5.520 0.000 4.114
Sm 0.000 0.000 0.000
Mg 2.781 0.000 2.023
Mg 2.712 0.000 5.377
Ag -0.080 0.000 5.892
Ag 5.573 0.000 1.508
```



[2]
The following is a computed powder X-ray diffraction pattern of Tb3PuGe3. It was derived from a crystal structure in Alexandria, relaxed with PBE, using Cu Kα (weighted mean of Kα1 and Kα2).

Peak list (12 most intense, 15 to 90 degrees two-theta, low angle first)
19.2°, I 34
25.3°, I 24
27.9°, I 30
31.1°, I 49
34.5°, I 29
34.9°, I 100
47.4°, I 85
54.3°, I 14
62.7°, I 16
71.6°, I 21
75.7°, I 21
82.2°, I 14

Atomic structure:
```
14
Lattice="8.896 0.000 0.000 -4.448 7.704 0.000 0.000 0.000 5.760" Properties=species:S:1:pos:R:3 pbc="T T T"
Tb -2.944 5.337 1.440
Tb 1.298 2.485 1.440
Tb 2.801 0.119 4.320
Tb 1.647 7.585 1.440
Tb 3.150 5.218 4.320
Tb 7.392 2.366 4.320
Pu 0.000 5.136 4.320
Pu 4.448 2.568 1.440
Ge -1.528 2.709 1.440
Ge -1.338 7.673 1.440
Ge 1.582 2.678 4.320
Ge 2.866 5.026 1.440
Ge 5.786 0.031 4.320
Ge 5.976 4.995 4.320
```



[3]
The following is a computed powder X-ray diffraction pattern of LaPm3Ho8. It was derived from a crystal structure in Alexandria, relaxed with PBE, using Cu Kα (weighted mean of Kα1 and Kα2).

Peak list (12 most intense, 15 to 90 degrees two-theta, low angle first)
15.5°, I 18
27.2°, I 21
31.2°, I 77
31.4°, I 100
32.0°, I 78
35.0°, I 24
35.8°, I 48
45.4°, I 22
51.6°, I 25
55.7°, I 20
56.1°, I 34
65.6°, I 29

Atomic structure:
```
12
Lattice="-3.199 5.726 5.730 3.199 -5.726 5.730 3.199 5.726 -5.730" Properties=species:S:1:pos:R:3 pbc="T T T"
La 0.000 0.000 0.000
Pm 3.199 2.900 0.000
Pm 0.000 5.726 0.000
Pm 0.000 2.826 5.730
Ho 3.199 -2.857 3.746
Ho 1.610 5.726 -2.827
Ho 1.589 0.000 2.903
Ho 0.000 2.869 1.985
Ho 3.199 2.857 3.746
Ho 1.610 5.726 2.827
Ho 1.589 0.000 8.558
Ho 0.000 8.584 1.985
```



[4]
The following is a computed powder X-ray diffraction pattern of Dy3ErCu2. It was derived from a crystal structure in Alexandria, relaxed with PBE, using Cu Kα (weighted mean of Kα1 and Kα2).

Peak list (12 most intense, 15 to 90 degrees two-theta, low angle first)
30.4°, I 100
31.9°, I 36
33.3°, I 16
33.6°, I 92
36.0°, I 45
36.7°, I 52
40.9°, I 31
45.0°, I 11
50.6°, I 14
56.1°, I 25
62.0°, I 21
62.2°, I 13

Atomic structure:
```
12
Lattice="4.898 0.000 0.000 0.000 8.691 0.000 0.000 0.000 6.844" Properties=species:S:1:pos:R:3 pbc="T T T"
Dy 0.000 0.657 0.000
Dy 0.000 2.917 2.521
Dy 0.000 5.773 5.943
Dy 0.000 8.034 3.422
Dy 2.449 1.439 4.502
Dy 2.449 7.252 1.080
Er 2.449 3.697 0.185
Er 2.449 4.994 3.607
Cu 0.000 3.035 5.301
Cu 0.000 5.655 1.879
Cu 2.449 1.328 1.723
Cu 2.449 7.363 5.145
```



[5]
The following is a computed powder X-ray diffraction pattern of Na2TlSn. It was derived from a crystal structure in Alexandria, relaxed with PBE, using Cu Kα (weighted mean of Kα1 and Kα2).

Peak list (12 most intense, 15 to 90 degrees two-theta, low angle first)
17.6°, I 39
21.6°, I 100
33.3°, I 79
34.6°, I 73
39.0°, I 33
41.0°, I 23
41.1°, I 20
48.7°, I 27
54.8°, I 28
58.6°, I 15
61.1°, I 28
61.9°, I 14

Atomic structure:
```
8
Lattice="5.191 0.000 0.000 -2.596 4.496 0.000 0.000 0.000 10.086" Properties=species:S:1:pos:R:3 pbc="T T T"
Na 0.000 2.997 0.521
Na 0.000 2.997 3.990
Na 2.596 1.499 6.095
Na 2.596 1.499 9.564
Tl 0.000 2.997 7.280
Tl 2.596 1.499 2.806
Sn 0.000 0.000 1.578
Sn 0.000 0.000 8.508
```



[6]
The following is a computed powder X-ray diffraction pattern of WN2. It was derived from a crystal structure in Alexandria, relaxed with PBE, using Cu Kα (weighted mean of Kα1 and Kα2).

Peak list (12 most intense, 15 to 90 degrees two-theta, low angle first)
22.8°, I 66
37.2°, I 100
42.4°, I 29
46.6°, I 10
50.2°, I 43
59.8°, I 11
63.3°, I 18
68.2°, I 21
70.9°, I 15
75.8°, I 13
82.2°, I 12
84.9°, I 10

Atomic structure:
```
6
Lattice="2.938 0.000 0.000 -1.469 2.544 0.000 0.000 0.000 7.796" Properties=species:S:1:pos:R:3 pbc="T T T"
W 0.000 1.696 1.949
W 1.469 0.848 5.847
N 0.000 0.000 0.703
N 0.000 0.000 3.195
N 0.000 0.000 4.601
N 0.000 0.000 7.094
```



[7]
The following is a computed powder X-ray diffraction pattern of TiNiN. It was derived from a crystal structure in Alexandria, relaxed with PBE, using Cu Kα (weighted mean of Kα1 and Kα2).

Peak list (12 most intense, 15 to 90 degrees two-theta, low angle first)
31.3°, I 67
35.1°, I 65
41.8°, I 59
44.1°, I 100
44.9°, I 42
50.5°, I 40
64.1°, I 29
64.7°, I 49
75.2°, I 13
79.5°, I 16
81.7°, I 24
85.8°, I 15

Atomic structure:
```
6
Lattice="-1.453 1.453 8.075 1.453 -1.453 8.075 1.453 1.453 -8.075" Properties=species:S:1:pos:R:3 pbc="T T T"
Ti 0.000 0.000 2.894
Ti 0.000 0.000 13.255
Ni 0.000 0.000 6.958
Ni 0.000 0.000 9.191
N 0.000 0.000 5.018
N 0.000 0.000 11.132
```



[8]
The following is a computed powder X-ray diffraction pattern of Cs4GaCl7. It was derived from a crystal structure in Alexandria, relaxed with PBE, using Cu Kα (weighted mean of Kα1 and Kα2).

Peak list (12 most intense, 15 to 90 degrees two-theta, low angle first)
19.0°, I 30
20.0°, I 66
21.4°, I 79
21.9°, I 100
25.3°, I 81
27.1°, I 54
29.1°, I 73
29.3°, I 53
32.4°, I 46
37.4°, I 28
38.9°, I 40
39.1°, I 33

Atomic structure:
```
12
Lattice="7.467 -3.522 0.000 7.467 3.522 0.000 -4.872 0.000 9.132" Properties=species:S:1:pos:R:3 pbc="T T T"
Cs 0.221 0.000 2.836
Cs 0.363 -0.011 9.087
Cs 9.698 -0.011 0.045
Cs 9.840 0.000 6.296
Ga 5.031 -0.121 4.566
Cl -2.947 -0.020 9.024
Cl 5.031 2.097 4.566
Cl 2.998 -0.055 6.127
Cl 3.846 -1.283 3.092
Cl 7.064 -0.055 3.005
Cl 6.216 -1.283 6.040
Cl 13.009 -0.020 0.108
```